Calculated PXRD pattern of Pr5C2Br8 for copper Kα, from a crystal structure in the Materials Project, relaxed with PBE.
Neutral-atom scattering factors, no anomalous dispersion.

Most intense lines, 10° ≤ 2θ ≤ 90°, by angle:
d [Å]  two_theta  I_rel
8.411  10.52  19
7.761  11.40  24
3.105  28.75  100
2.976  30.02  73
2.904  30.79  70
2.206  40.91  27
2.148  42.06  25
2.107  42.93  19
2.095  43.18  53
2.051  44.15  19

Crystal structure
Cell lengths 9.293, 12.451, 17.092 Å; angles 100.13, 90.11, 95.80 degrees
Space group P-1 (No. 2)
One atom of each set of equivalent atoms:
Pr 0.054 0.240 0.254 x2
Pr 0.086 0.935 0.118 x2
Pr 0.120 0.148 0.463 x2
Pr 0.159 0.013 0.700 x2
Pr 0.183 0.873 0.323 x2
Pr 0.240 0.494 0.198 x2
Pr 0.323 0.232 0.059 x2
Pr 0.335 0.434 0.407 x2
Pr 0.371 0.131 0.273 x2
Pr 0.415 0.615 0.775 x2
C 0.102 0.024 0.249 x2
C 0.109 0.073 0.330 x2
C 0.318 0.296 0.195 x2
C 0.322 0.345 0.276 x2
Br 0.003 0.856 0.930 x2
Br 0.022 0.355 0.429 x2
Br 0.073 0.554 0.781 x2
Br 0.118 0.225 0.653 x2
Br 0.163 0.730 0.162 x2
Br 0.198 0.934 0.513 x2
Br 0.210 0.427 0.024 x2
Br 0.230 0.124 0.868 x2
Br 0.249 0.641 0.365 x2
Br 0.285 0.813 0.731 x2
Br 0.350 0.503 0.600 x2
Br 0.369 0.707 0.945 x2
Br 0.396 0.011 0.097 x2
Br 0.430 0.225 0.454 x2
Br 0.463 0.405 0.814 x2
Br 0.498 0.929 0.319 x2



Calculated PXRD pattern of Rb3Mn for copper Kα, from a crystal structure in the Materials Project, relaxed with PBE.
Neutral-atom scattering factors, no anomalous dispersion.

Most intense lines, 10° ≤ 2θ ≤ 90°, by angle:
d [Å]  two_theta  I_rel
3.611  24.66  100
3.204  27.84  37
2.987  29.91  15
2.266  39.78  14
2.185  41.32  25
1.919  47.37  33
1.823  50.03  14
1.805  50.56  13
1.420  65.74  12
1.292  73.26  9

Crystal structure
Cell lengths 6.409, 6.409, 11.950 Å; angles 90.00, 90.00, 90.00 degrees
Space group I4/mmm (No. 139)
One atom of each set of equivalent atoms:
Rb 0.000 0.000 0.000 x2
Rb 0.000 0.500 0.250 x4
Mn 0.000 0.000 0.500 x2



Calculated PXRD pattern of Mg14FeW for copper Kα, from a crystal structure in the Materials Project, relaxed with PBE.
Neutral-atom scattering factors, no anomalous dispersion.

Most intense lines, 10° ≤ 2θ ≤ 90°, by angle:
d [Å]  two_theta  I_rel
5.467  16.21  35
4.955  17.90  25
4.787  18.54  46
4.643  19.12  32
2.628  34.12  37
2.477  36.26  40
2.393  37.58  64
2.321  38.79  100
1.802  50.64  24
1.318  71.59  25

Crystal structure
Cell lengths 9.909, 5.993, 10.934 Å; angles 90.00, 90.00, 90.00 degrees
Space group Amm2 (No. 38)
One atom of each set of equivalent atoms:
Mg 0.000 0.000 0.000 x2
Mg 0.000 0.000 0.500 x2
Mg 0.000 0.249 0.253 x4
Mg 0.255 0.000 0.659 x4
Mg 0.264 0.000 0.156 x4
Mg 0.271 0.249 0.920 x8
Mg 0.500 0.247 0.753 x4
Fe 0.500 0.000 0.005 x2
W 0.500 0.000 0.511 x2



Calculated PXRD pattern of V4NiS8 for copper Kα, from a crystal structure in the Materials Project, relaxed with PBE.
Neutral-atom scattering factors, no anomalous dispersion.

Most intense lines, 10° ≤ 2θ ≤ 90°, by angle:
d [Å]  two_theta  I_rel
5.562  15.93  53
5.064  17.51  33
2.857  31.31  18
2.541  35.32  48
2.532  35.45  100
2.002  45.30  81
1.984  45.73  48
1.966  46.16  30
1.655  55.53  23
1.639  56.10  46

Crystal structure
Cell lengths 11.126, 6.619, 7.867 Å; angles 90.00, 133.97, 90.00 degrees
Space group C2/m (No. 12)
One atom of each set of equivalent atoms:
V 0.000 0.214 0.000 x4
V 0.231 0.000 0.472 x4
Ni 0.000 0.500 0.500 x2
S 0.028 0.500 0.829 x4
S 0.056 0.000 0.833 x4
S 0.209 0.250 0.673 x8



Calculated PXRD pattern of K4H5Se4O16 for copper Kα, from a crystal structure in the Materials Project, relaxed with PBE.
Neutral-atom scattering factors, no anomalous dispersion.

Most intense lines, 10° ≤ 2θ ≤ 90°, by angle:
d [Å]  two_theta  I_rel
5.125  17.30  54
4.706  18.86  32
3.951  22.51  32
3.892  22.85  32
3.792  23.46  83
3.767  23.62  100
3.453  25.80  42
3.409  26.14  49
3.368  26.46  80
3.199  27.89  53

Crystal structure
Cell lengths 7.661, 7.930, 7.968 Å; angles 72.23, 86.79, 85.21 degrees
Space group P-1 (No. 2)
One atom of each set of equivalent atoms:
K 0.033 0.247 0.217 x2
K 0.335 0.312 0.663 x2
H 0.252 0.925 0.031 x2
H 0.357 0.488 0.919 x2
H 0.500 0.000 0.500 x1
Se 0.129 0.718 0.279 x2
Se 0.470 0.779 0.801 x2
O 0.005 0.770 0.435 x2
O 0.014 0.637 0.154 x2
O 0.191 0.931 0.147 x2
O 0.311 0.596 0.348 x2
O 0.323 0.598 0.816 x2
O 0.336 0.944 0.837 x2
O 0.369 0.298 0.051 x2
O 0.433 0.141 0.411 x2



Calculated PXRD pattern of PrZn for copper Kα, from a crystal structure in the Materials Project, relaxed with PBE.
Neutral-atom scattering factors, no anomalous dispersion.

Most intense lines, 10° ≤ 2θ ≤ 90°, by angle:
d [Å]  two_theta  I_rel
3.715  23.95  13
2.627  34.13  100
2.145  42.13  4
1.858  49.04  18
1.661  55.29  6
1.517  61.10  36
1.313  71.88  11
1.238  77.00  3
1.175  82.02  15
1.120  86.98  2

Crystal structure
Cell lengths 3.715, 3.715, 3.715 Å; angles 90.00, 90.00, 90.00 degrees
Space group Pm-3m (No. 221)
One atom of each set of equivalent atoms:
Pr 0.000 0.000 0.000 x1
Zn 0.500 0.500 0.500 x1



Calculated PXRD pattern of PuP3 for copper Kα, from a crystal structure in the Materials Project, relaxed with PBE.
Neutral-atom scattering factors, no anomalous dispersion.

Most intense lines, 10° ≤ 2θ ≤ 90°, by angle:
d [Å]  two_theta  I_rel
4.832  18.36  56
3.589  24.81  100
2.790  32.08  45
2.680  33.43  32
2.416  37.21  17
2.344  38.40  18
2.203  40.97  77
1.933  47.01  33
1.729  52.97  41
1.437  64.90  20

Crystal structure
Cell lengths 5.5797, 5.5797, 5.3609 Å; angles 90.00, 90.00, 120.00 degrees
Space group P6_3/mmc (No. 194)
One atom of each set of equivalent atoms:
Pu 0.3333 0.6667 0.2500 x2
P 0.1957 0.3913 0.7500 x6



Calculated PXRD pattern of GeBr2F10 for copper Kα, from a crystal structure in the Materials Project, relaxed with PBE.
Neutral-atom scattering factors, no anomalous dispersion.

Most intense lines, 10° ≤ 2θ ≤ 90°, by angle:
d [Å]  two_theta  I_rel
7.093  12.48  31
4.578  19.39  98
4.397  20.19  43
3.978  22.35  71
3.874  22.96  49
3.712  23.97  100
3.370  26.45  58
3.235  27.57  70
2.105  42.96  28
1.937  46.90  28

Crystal structure
Cell lengths 5.132, 14.186, 6.651 Å; angles 90.00, 115.68, 90.00 degrees
Space group P2_1/c (No. 14)
One atom of each set of equivalent atoms:
Ge 0.000 0.000 0.000 x2
Br 0.319 0.134 0.672 x4
F 0.003 0.675 0.054 x4
F 0.031 0.036 0.738 x4
F 0.273 0.080 0.160 x4
F 0.280 0.595 0.548 x4
F 0.464 0.713 0.899 x4